(1)
For Ta4Nb2W, a structure optimized by DFT (PBE) gives the computed powder diffractogram in this record (copper Kα).
No peak broadening, texture or thermal motion is included.

Cell and atoms:
```
data_Ta4Nb2W
_chemical_formula_sum 'Ta4 Nb2 W1'
_cell_length_a 4.8233
_cell_length_b 2.6912
_cell_length_c 10.1180
_cell_angle_alpha 90.00
_cell_angle_beta 103.70
_cell_angle_gamma 90.00
_symmetry_space_group_name_H-M 'P 1 2/m 1'
_symmetry_Int_Tables_number 10
_symmetry_space_group_name_Hall '-P 2y'
loop_
_atom_site_label
_atom_site_type_symbol
_atom_site_fract_x
_atom_site_fract_y
_atom_site_fract_z
Ta1 Ta 0.0692 0.0000 0.1401
Ta2 Ta 0.2107 0.5000 0.4215
Nb1 Nb 0.3563 0.0000 0.7116
W1 W 0.5000 0.5000 0.0000
```

Top 10 peaks for 5° ≤ 2θ ≤ 70°, sorted by position:
- 2θ = 34.6°, I = 10, hkl 0 1 1
- 2θ = 37.0°, I = 100, hkl 1 0 3
- 2θ = 37.3°, I = 50, hkl 2 0 -1
- 2θ = 38.1°, I = 30, hkl 0 1 2
- 2θ = 38.6°, I = 14, hkl 1 1 0
- 2θ = 40.8°, I = 61, hkl 1 1 1
- 2θ = 44.9°, I = 11, hkl 1 1 -3
- 2θ = 54.4°, I = 21, hkl 2 1 -3
- 2θ = 58.1°, I = 13, hkl 0 1 5
- 2θ = 69.6°, I = 13, hkl 3 1 0

(2)
For LaNd2Sb2, a structure optimized by DFT (PBE) gives the computed powder diffractogram in this record (copper Kα).
No peak broadening, texture or thermal motion is included.

Cell and atoms:
```
data_LaNd2Sb2
_chemical_formula_sum 'La4 Nd8 Sb8'
_cell_length_a 6.5365
_cell_length_b 6.5721
_cell_length_c 14.8864
_cell_angle_alpha 90.00
_cell_angle_beta 90.00
_cell_angle_gamma 90.00
_symmetry_space_group_name_H-M 'F m m m'
_symmetry_Int_Tables_number 69
_symmetry_space_group_name_Hall '-F 2 2'
loop_
_atom_site_label
_atom_site_type_symbol
_atom_site_fract_x
_atom_site_fract_y
_atom_site_fract_z
La1 La 0.0000 0.0000 0.0000
Nd1 Nd 0.2500 0.2500 0.2500
Sb1 Sb 0.0000 0.0000 0.3993
```

Top 10 peaks for 5° ≤ 2θ ≤ 70°, sorted by position:
- 2θ = 26.3°, I = 51, hkl 1 1 3
- 2θ = 29.7°, I = 100, hkl 0 2 2
- 2θ = 29.9°, I = 99, hkl 2 0 2
- 2θ = 35.8°, I = 70, hkl 1 1 5
- 2θ = 36.5°, I = 29, hkl 0 2 4
- 2θ = 36.6°, I = 28, hkl 2 0 4
- 2θ = 38.9°, I = 87, hkl 2 2 0
- 2θ = 53.8°, I = 22, hkl 1 3 5
- 2θ = 64.2°, I = 23, hkl 2 2 8
- 2θ = 69.3°, I = 31, hkl 2 0 10

(3)
For Li3TcO3, a structure optimized by DFT (PBE) gives the computed powder diffractogram in this record (copper Kα).
No peak broadening, texture or thermal motion is included.

Cell and atoms:
```
data_Li3TcO3
_chemical_formula_sum 'Li24 Tc8 O24'
_cell_length_a 13.7089
_cell_length_b 8.0105
_cell_length_c 6.9553
_cell_angle_alpha 90.00
_cell_angle_beta 90.00
_cell_angle_gamma 90.00
_symmetry_space_group_name_H-M 'C m c e'
_symmetry_Int_Tables_number 64
_symmetry_space_group_name_Hall '-C 2ac 2'
loop_
_atom_site_label
_atom_site_type_symbol
_atom_site_fract_x
_atom_site_fract_y
_atom_site_fract_z
Li1 Li 0.0000 0.1881 0.1799
Li2 Li 0.1868 0.1874 0.8748
Tc1 Tc 0.0871 0.0000 0.5000
O1 O 0.0000 0.1993 0.4456
O2 O 0.1709 0.1684 0.6006
```

Top 10 peaks for 5° ≤ 2θ ≤ 70°, sorted by position:
- 2θ = 12.9°, I = 10, hkl 2 0 0
- 2θ = 18.1°, I = 100, hkl 1 1 1
- 2θ = 25.6°, I = 18, hkl 0 0 2
- 2θ = 34.1°, I = 8, hkl 0 2 2
- 2θ = 36.6°, I = 11, hkl 1 3 1
- 2θ = 37.0°, I = 12, hkl 5 1 1
- 2θ = 41.1°, I = 10, hkl 1 1 3
- 2θ = 45.7°, I = 9, hkl 6 2 0
- 2θ = 49.4°, I = 9, hkl 5 3 1
- 2θ = 53.1°, I = 7, hkl 6 2 2

(4)
For Ho10Si17, a structure optimized by DFT (PBE) gives the computed powder diffractogram in this record (copper Kα).
No peak broadening, texture or thermal motion is included.

Cell and atoms:
```
data_Ho10Si17
_chemical_formula_sum 'Ho20 Si34'
_cell_length_a 8.2537
_cell_length_b 19.1119
_cell_length_c 6.6585
_cell_angle_alpha 90.00
_cell_angle_beta 90.00
_cell_angle_gamma 90.00
_symmetry_space_group_name_H-M 'I m m 2'
_symmetry_Int_Tables_number 44
_symmetry_space_group_name_Hall 'I 2 -2'
loop_
_atom_site_label
_atom_site_type_symbol
_atom_site_fract_x
_atom_site_fract_y
_atom_site_fract_z
Ho1 Ho 0.2444 0.0000 0.0000
Ho2 Ho 0.2482 0.3003 0.5025
Ho3 Ho 0.2477 0.3996 0.0075
Si1 Si 0.0000 0.0000 0.3195
Si2 Si 0.0000 0.0000 0.6706
Si3 Si 0.0000 0.1047 0.8492
Si4 Si 0.0000 0.1220 0.2066
Si5 Si 0.0000 0.1993 0.6141
Si6 Si 0.0000 0.2841 0.1970
Si7 Si 0.0000 0.3006 0.8360
Si8 Si 0.0000 0.3997 0.3411
Si9 Si 0.0000 0.4188 0.6974
Si10 Si 0.0000 0.5000 0.1254
```

Top 10 peaks for 5° ≤ 2θ ≤ 70°, sorted by position:
- 2θ = 21.5°, I = 30, hkl 2 0 0
- 2θ = 26.8°, I = 27, hkl 0 0 2
- 2θ = 26.9°, I = 55, hkl 0 5 1
- 2θ = 34.6°, I = 51, hkl 2 0 2
- 2θ = 34.7°, I = 100, hkl 2 5 1
- 2θ = 43.9°, I = 17, hkl 4 0 0
- 2θ = 47.4°, I = 25, hkl 0 5 3
- 2θ = 52.2°, I = 18, hkl 4 5 1
- 2θ = 60.2°, I = 19, hkl 2 10 2
- 2θ = 66.5°, I = 18, hkl 4 5 3

(5)
For Li7Mg3Al, a structure optimized by DFT (PBE) gives the computed powder diffractogram in this record (copper Kα).
No peak broadening, texture or thermal motion is included.

Cell and atoms:
```
data_Li7Mg3Al
_chemical_formula_sum 'Li7 Mg3 Al1'
_cell_length_a 6.0203
_cell_length_b 6.0203
_cell_length_c 7.2983
_cell_angle_alpha 90.00
_cell_angle_beta 90.00
_cell_angle_gamma 120.00
_symmetry_space_group_name_H-M 'P 3 m 1'
_symmetry_Int_Tables_number 156
_symmetry_space_group_name_Hall 'P 3 -2"'
loop_
_atom_site_label
_atom_site_type_symbol
_atom_site_fract_x
_atom_site_fract_y
_atom_site_fract_z
Li1 Li 0.0000 0.0000 0.0000
Li2 Li 0.1690 0.3379 0.3332
Li3 Li 0.5022 0.0043 0.0065
Mg1 Mg 0.3353 0.1676 0.6655
Al1 Al 0.6667 0.3333 0.3267
```

Top 10 peaks for 5° ≤ 2θ ≤ 70°, sorted by position:
- 2θ = 12.1°, I = 52, hkl 0 0 1
- 2θ = 17.0°, I = 59, hkl 1 0 0
- 2θ = 20.9°, I = 34, hkl 0 1 1
- 2θ = 29.9°, I = 14, hkl 1 0 2
- 2θ = 32.2°, I = 22, hkl 1 1 1
- 2θ = 36.6°, I = 100, hkl 0 2 1
- 2θ = 37.0°, I = 29, hkl 0 0 3
- 2θ = 42.6°, I = 63, hkl 2 0 2
- 2θ = 61.6°, I = 19, hkl 2 2 0
- 2θ = 62.1°, I = 21, hkl 0 2 4

(6)
For ZrTe3Pd, a structure optimized by DFT (PBE) gives the computed powder diffractogram in this record (copper Kα).
No peak broadening, texture or thermal motion is included.

Cell and atoms:
```
data_ZrTe3Pd
_chemical_formula_sum 'Zr4 Te12 Pd4'
_cell_length_a 3.9586
_cell_length_b 20.4963
_cell_length_c 6.8105
_cell_angle_alpha 90.00
_cell_angle_beta 90.00
_cell_angle_gamma 90.00
_symmetry_space_group_name_H-M 'A m a 2'
_symmetry_Int_Tables_number 40
_symmetry_space_group_name_Hall 'A 2 -2a'
loop_
_atom_site_label
_atom_site_type_symbol
_atom_site_fract_x
_atom_site_fract_y
_atom_site_fract_z
Zr1 Zr 0.2500 0.1634 0.0000
Te1 Te 0.2500 0.0748 0.3062
Te2 Te 0.2500 0.2367 0.6060
Te3 Te 0.2500 0.4098 0.2818
Pd1 Pd 0.2500 0.3400 0.9014
```

Top 10 peaks for 5° ≤ 2θ ≤ 70°, sorted by position:
- 2θ = 8.6°, I = 33, hkl 0 2 0
- 2θ = 27.6°, I = 35, hkl 0 2 2
- 2θ = 29.2°, I = 100, hkl 1 3 1
- 2θ = 31.5°, I = 25, hkl 0 4 2
- 2θ = 34.1°, I = 71, hkl 1 5 1
- 2θ = 37.3°, I = 27, hkl 0 6 2
- 2θ = 40.5°, I = 28, hkl 1 7 1
- 2θ = 45.8°, I = 25, hkl 2 0 0
- 2θ = 46.3°, I = 35, hkl 1 1 3
- 2θ = 48.0°, I = 30, hkl 1 9 1

(7)
For PmErSc2As4, a structure optimized by DFT (PBE) gives the computed powder diffractogram in this record (copper Kα).
No peak broadening, texture or thermal motion is included.

Cell and atoms:
```
data_PmErSc2As4
_chemical_formula_sum 'Pm1 Er1 Sc2 As4'
_cell_length_a 6.9548
_cell_length_b 4.0314
_cell_length_c 6.9758
_cell_angle_alpha 90.00
_cell_angle_beta 109.55
_cell_angle_gamma 90.00
_symmetry_space_group_name_H-M 'P 1 2/m 1'
_symmetry_Int_Tables_number 10
_symmetry_space_group_name_Hall '-P 2y'
loop_
_atom_site_label
_atom_site_type_symbol
_atom_site_fract_x
_atom_site_fract_y
_atom_site_fract_z
Pm1 Pm 0.0000 0.0000 0.0000
Er1 Er 0.0000 0.5000 0.5000
Sc1 Sc 0.5000 0.0000 0.5000
Sc2 Sc 0.5000 0.5000 0.0000
As1 As 0.2657 0.0000 0.7507
As2 As 0.2692 0.5000 0.2610
```

Top 10 peaks for 5° ≤ 2θ ≤ 70°, sorted by position:
- 2θ = 13.5°, I = 16, hkl 1 0 0
- 2θ = 25.9°, I = 17, hkl 0 1 1
- 2θ = 31.4°, I = 100, hkl 1 1 1
- 2θ = 34.4°, I = 12, hkl 1 0 2
- 2θ = 45.0°, I = 37, hkl 0 2 0
- 2θ = 45.1°, I = 35, hkl 3 1 -1
- 2θ = 55.9°, I = 19, hkl 2 2 -2
- 2θ = 56.1°, I = 6, hkl 4 0 0
- 2θ = 62.7°, I = 6, hkl 3 2 0
- 2θ = 65.6°, I = 11, hkl 2 2 2

(8)
For CaYSi2, a structure optimized by DFT (PBE) gives the computed powder diffractogram in this record (copper Kα).
No peak broadening, texture or thermal motion is included.

Cell and atoms:
```
data_CaYSi2
_chemical_formula_sum 'Ca4 Y4 Si8'
_cell_length_a 4.2964
_cell_length_b 13.4441
_cell_length_c 6.3619
_cell_angle_alpha 90.00
_cell_angle_beta 90.00
_cell_angle_gamma 90.00
_symmetry_space_group_name_H-M 'C m c m'
_symmetry_Int_Tables_number 63
_symmetry_space_group_name_Hall '-C 2c 2'
loop_
_atom_site_label
_atom_site_type_symbol
_atom_site_fract_x
_atom_site_fract_y
_atom_site_fract_z
Ca1 Ca 0.0000 0.2256 0.2500
Y1 Y 0.0000 0.0475 0.7500
Si1 Si 0.0000 0.4103 0.5610
```

Top 10 peaks for 5° ≤ 2θ ≤ 70°, sorted by position:
- 2θ = 13.2°, I = 46, hkl 0 2 0
- 2θ = 21.7°, I = 15, hkl 1 1 0
- 2θ = 28.1°, I = 18, hkl 0 0 2
- 2θ = 30.1°, I = 30, hkl 0 4 1
- 2θ = 32.1°, I = 100, hkl 1 3 1
- 2θ = 35.8°, I = 72, hkl 1 1 2
- 2θ = 39.0°, I = 15, hkl 0 4 2
- 2θ = 42.1°, I = 37, hkl 2 0 0
- 2θ = 50.9°, I = 17, hkl 0 4 3
- 2θ = 68.1°, I = 14, hkl 2 4 3

(9)
For Na8TiAs4, a structure optimized by DFT (PBE) gives the computed powder diffractogram in this record (copper Kα).
No peak broadening, texture or thermal motion is included.

Cell and atoms:
a b c (Å): 13.8401 13.8401 13.8401
angles (deg): 90.00 90.00 90.00
Space group Fd-3m (No. 227, origin choice 2)
Inequivalent atoms, fractional coordinates:
Na: 0.0000 0.0000 0.0000 x16
Na: 0.0956 0.3750 0.8750 x48
Ti: 0.1250 0.1250 0.1250 x8
As: 0.0200 0.0200 0.2300 x32

Top 10 peaks for 5° ≤ 2θ ≤ 70°, sorted by position:
- 2θ = 11.1°, I = 57, hkl 1 1 1
- 2θ = 22.3°, I = 64, hkl 2 2 2
- 2θ = 25.7°, I = 12, hkl 4 0 0
- 2θ = 33.6°, I = 49, hkl 3 3 3
- 2θ = 36.7°, I = 100, hkl 4 4 0
- 2θ = 38.5°, I = 14, hkl 5 3 1
- 2θ = 43.4°, I = 16, hkl 6 2 2
- 2θ = 46.9°, I = 13, hkl 5 5 1
- 2θ = 50.7°, I = 29, hkl 7 3 1
- 2θ = 66.2°, I = 14, hkl 8 4 4

(10)
For TbCeBiO6, a structure optimized by DFT (PBE) gives the computed powder diffractogram in this record (copper Kα).
No peak broadening, texture or thermal motion is included.

Cell and atoms:
```
data_TbCeBiO6
_chemical_formula_sum 'Tb1 Ce1 Bi1 O6'
_cell_length_a 5.7009
_cell_length_b 5.7009
_cell_length_c 4.8737
_cell_angle_alpha 90.00
_cell_angle_beta 90.00
_cell_angle_gamma 120.00
_symmetry_space_group_name_H-M 'P 3 1 2'
_symmetry_Int_Tables_number 149
_symmetry_space_group_name_Hall 'P 3 2'
loop_
_atom_site_label
_atom_site_type_symbol
_atom_site_fract_x
_atom_site_fract_y
_atom_site_fract_z
Tb1 Tb 0.0000 0.0000 0.0000
Ce1 Ce 0.6667 0.3333 0.5000
Bi1 Bi 0.3333 0.6667 0.0000
O1 O 0.0112 0.3514 0.2397
```

Top 10 peaks for 5° ≤ 2θ ≤ 70°, sorted by position:
- 2θ = 18.2°, I = 19, hkl 0 0 1
- 2θ = 25.7°, I = 100, hkl 1 0 1
- 2θ = 31.4°, I = 58, hkl 1 1 0
- 2θ = 36.5°, I = 22, hkl 2 -1 1
- 2θ = 36.9°, I = 10, hkl 0 0 2
- 2θ = 41.0°, I = 29, hkl 2 0 1
- 2θ = 49.2°, I = 49, hkl 2 -1 2
- 2θ = 52.5°, I = 29, hkl 3 -1 1
- 2θ = 55.9°, I = 19, hkl 3 0 0
- 2θ = 68.8°, I = 12, hkl 3 0 2

(11)
For PmLuInIr, a structure optimized by DFT (PBE) gives the computed powder diffractogram in this record (copper Kα).
No peak broadening, texture or thermal motion is included.

Cell and atoms:
```
data_PmLuInIr
_chemical_formula_sum 'Pm4 Lu4 In4 Ir4'
_cell_length_a 7.2050
_cell_length_b 7.2050
_cell_length_c 7.2050
_cell_angle_alpha 90.00
_cell_angle_beta 90.00
_cell_angle_gamma 90.00
_symmetry_space_group_name_H-M 'F -4 3 m'
_symmetry_Int_Tables_number 216
_symmetry_space_group_name_Hall 'F -4 2 3'
loop_
_atom_site_label
_atom_site_type_symbol
_atom_site_fract_x
_atom_site_fract_y
_atom_site_fract_z
Pm1 Pm 0.0000 0.0000 0.0000
Lu1 Lu 0.0000 0.0000 0.5000
In1 In 0.2500 0.2500 0.7500
Ir1 Ir 0.2500 0.2500 0.2500
```

Top 7 peaks for 5° ≤ 2θ ≤ 70°, sorted by position:
- 2θ = 21.4°, I = 3, hkl 1 1 1
- 2θ = 35.2°, I = 100, hkl 2 2 0
- 2θ = 41.6°, I = 2, hkl 3 1 1
- 2θ = 50.7°, I = 18, hkl 4 0 0
- 2θ = 55.6°, I = 1, hkl 3 3 1
- 2θ = 63.2°, I = 37, hkl 4 2 2
- 2θ = 67.6°, I = 1, hkl 5 1 1

(12)
For ErBRu2, a structure optimized by DFT (PBE) gives the computed powder diffractogram in this record (copper Kα).
No peak broadening, texture or thermal motion is included.

Cell and atoms:
```
data_ErBRu2
_chemical_formula_sum 'Er4 B4 Ru8'
_cell_length_a 5.9035
_cell_length_b 4.2286
_cell_length_c 9.6037
_cell_angle_alpha 90.00
_cell_angle_beta 90.00
_cell_angle_gamma 90.00
_symmetry_space_group_name_H-M 'P n m a'
_symmetry_Int_Tables_number 62
_symmetry_space_group_name_Hall '-P 2ac 2n'
loop_
_atom_site_label
_atom_site_type_symbol
_atom_site_fract_x
_atom_site_fract_y
_atom_site_fract_z
Er1 Er 0.0948 0.2500 0.1196
B1 B 0.1339 0.7500 0.4064
Ru1 Ru 0.0911 0.2500 0.4210
Ru2 Ru 0.1486 0.2500 0.7376
```

Top 10 peaks for 5° ≤ 2θ ≤ 70°, sorted by position:
- 2θ = 23.0°, I = 8, hkl 0 1 1
- 2θ = 23.9°, I = 7, hkl 1 0 2
- 2θ = 31.8°, I = 11, hkl 1 0 3
- 2θ = 32.0°, I = 15, hkl 1 1 2
- 2θ = 35.2°, I = 100, hkl 0 1 3
- 2θ = 37.1°, I = 94, hkl 2 1 0
- 2θ = 38.4°, I = 16, hkl 2 1 1
- 2θ = 41.6°, I = 60, hkl 2 0 3
- 2θ = 42.8°, I = 40, hkl 0 2 0
- 2θ = 61.2°, I = 37, hkl 2 2 3